This entry pairs a crystal structure of ErCuTe2 with its computed powder XRD pattern. Radiation: Cu Kα (λ = 1.5418 Å). Structure: a crystal structure in the Materials Project, relaxed with GGA-PBE.
Intensities are scaled so that the largest is 100.

Atomic structure:
Cell lengths 4.355, 4.355, 6.860 Å; angles 90.00, 90.00, 120.00 degrees
Positions (direct):
Er 0.000 0.000 0.000
Cu 0.667 0.333 0.627
Te 0.333 0.667 0.727
Te 0.667 0.333 0.242

Most intense lines, 15° ≤ 2θ ≤ 90°, in order of rising 2θ:
2θ 26.98, I 100, hkl 1 0 1; 2θ 35.37, I 63, hkl 1 0 2; 2θ 41.47, I 54, hkl 1 1 0; 2θ 46.44, I 25, hkl 0 1 3; 2θ 50.18, I 18, hkl 0 2 1; 2θ 55.62, I 17, hkl 0 2 2; 2θ 58.54, I 11, hkl 1 1 3; 2θ 67.06, I 15, hkl 2 1 1; 2θ 69.81, I 11, hkl 1 1 4; 2θ 71.70, I 16, hkl 2 1 2